1.
LiEr2Mg7: simulated X-ray diffraction stick pattern (Cu Kα), based on a PBE-relaxed structure.
Lines closer than 0.1° are merged.

```
10
Lattice="0.0000 5.0134 5.0134 5.0134 0.0000 5.0134 5.0134 5.0134 0.0000" Properties=species:S:1:pos:R:3 pbc="T T T"
Li 0.0000 0.0000 0.0000
Er 2.5067 2.5067 2.5067
Er 7.5201 7.5201 7.5201
Mg 5.0134 5.0134 2.3883
Mg 5.0134 2.3883 5.0134
Mg 7.6385 5.0134 5.0134
Mg 5.0134 5.0134 5.0134
Mg 2.3883 5.0134 5.0134
Mg 5.0134 7.6385 5.0134
Mg 5.0134 5.0134 7.6385
```

Peak list (10 most intense, 2θ = 10–90°, most intense first)
| 2θ (°) | I/Imax |
| --- | --- |
| 25.12 | 100 |
| 30.89 | 84 |
| 17.69 | 70 |
| 35.82 | 55 |
| 44.25 | 44 |
| 51.56 | 38 |
| 40.22 | 38 |
| 61.33 | 35 |
| 70.25 | 23 |
| 58.19 | 21 |

2.
Pr12CuAg6: simulated X-ray diffraction stick pattern (Cu Kα), based on a PBE-relaxed structure.
Lines closer than 0.1° are merged.

```
19
Lattice="5.7308 3.3087 4.8017 -5.7308 3.3087 4.8017 0.0000 -6.6174 4.8017" Properties=species:S:1:pos:R:3 pbc="T T T"
Pr -5.2066 1.2389 6.2151
Pr -3.6762 -3.8895 8.1901
Pr -1.9764 -0.3168 4.7926
Pr 1.5303 -5.1285 6.2151
Pr 1.2625 -1.5532 4.7926
Pr 0.7138 1.8700 4.7926
Pr -0.7138 -1.8700 9.6126
Pr -1.2625 1.5532 9.6126
Pr -1.5303 5.1285 8.1901
Pr 1.9764 0.3168 9.6127
Pr 3.6762 3.8895 6.2151
Pr 5.2066 -1.2389 8.1901
Cu 0.0000 0.0000 7.2026
Ag -0.9094 -2.9472 6.6334
Ag -3.0071 -0.6860 7.7719
Ag -2.0976 2.2612 6.6334
Ag 2.0976 -2.2612 7.7719
Ag 3.0071 0.6860 6.6334
Ag 0.9094 2.9472 7.7719
```

Peak list (10 most intense, 2θ = 10–90°, most intense first)
| 2θ (°) | I/Imax |
| --- | --- |
| 33.13 | 100 |
| 34.52 | 64 |
| 34.89 | 49 |
| 32.36 | 36 |
| 32.87 | 35 |
| 61.48 | 35 |
| 36.52 | 22 |
| 26.33 | 19 |
| 39.43 | 17 |
| 24.52 | 15 |

3.
LaCd10Hg2: simulated X-ray diffraction stick pattern (Cu Kα), based on a PBE-relaxed structure.
Lines closer than 0.1° are merged.

```
13
Lattice="0.0000 7.0791 7.0931 3.0495 0.0000 7.0931 3.0495 7.0791 0.0000" Properties=species:S:1:pos:R:3 pbc="T T T"
La 0.0000 0.0000 0.0000
Cd 1.5247 0.0000 3.5466
Cd 3.0495 4.5913 2.5175
Cd 3.0495 5.5705 5.5734
Cd 3.0495 9.5670 2.5175
Cd 3.0495 8.5878 5.5734
Cd 1.5247 7.0791 3.5466
Cd 3.0495 5.5705 8.6129
Cd 3.0495 4.5913 11.6688
Cd 3.0495 8.5878 8.6129
Cd 3.0495 9.5670 11.6688
Hg 1.5247 3.5396 0.0000
Hg 1.5247 3.5396 7.0931
```

Peak list (10 most intense, 2θ = 10–90°, most intense first)
| 2θ (°) | I/Imax |
| --- | --- |
| 34.43 | 100 |
| 38.97 | 82 |
| 35.49 | 82 |
| 35.84 | 67 |
| 40.25 | 47 |
| 30.51 | 37 |
| 63.51 | 32 |
| 17.70 | 24 |
| 39.93 | 22 |
| 56.04 | 21 |

4.
PmNd4Se5: simulated X-ray diffraction stick pattern (Cu Kα), based on a PBE-relaxed structure.
Lines closer than 0.1° are merged.

```
10
Lattice="-2.1097 2.1097 14.9735 2.1097 -2.1097 14.9735 2.1097 2.1097 -14.9735" Properties=species:S:1:pos:R:3 pbc="T T T"
Pm 0.0000 0.0000 0.0000
Nd 0.0000 0.0000 5.9113
Nd 0.0000 0.0000 11.9412
Nd 0.0000 0.0000 18.0057
Nd 0.0000 0.0000 24.0357
Se 0.0000 0.0000 2.9467
Se 0.0000 0.0000 8.9352
Se 0.0000 0.0000 14.9735
Se 0.0000 0.0000 21.0117
Se 0.0000 0.0000 27.0002
```

Peak list (10 most intense, 2θ = 10–90°, most intense first)
| 2θ (°) | I/Imax |
| --- | --- |
| 42.81 | 100 |
| 29.95 | 90 |
| 29.84 | 45 |
| 53.10 | 35 |
| 70.56 | 30 |
| 78.47 | 22 |
| 25.83 | 21 |
| 70.35 | 15 |
| 62.23 | 11 |
| 78.30 | 11 |

5.
PmCuP2: simulated X-ray diffraction stick pattern (Cu Kα), based on a PBE-relaxed structure.
Lines closer than 0.1° are merged.

```
8
Lattice="0.0000 9.9441 2.6986 2.6901 0.0000 2.6986 2.6901 9.9441 0.0000" Properties=species:S:1:pos:R:3 pbc="T T T"
Pm 2.6901 2.3387 2.6986
Pm 2.6901 17.5495 2.6986
Cu 1.3451 4.9720 1.3585
Cu 4.0352 14.9161 4.0571
P 2.6901 6.4407 2.7035
P 3.8236 9.9441 3.8800
P 2.6901 13.4475 2.7035
P 1.5566 9.9441 3.8800
```

Peak list (10 most intense, 2θ = 10–90°, most intense first)
| 2θ (°) | I/Imax |
| --- | --- |
| 37.98 | 100 |
| 32.54 | 54 |
| 23.78 | 47 |
| 47.74 | 30 |
| 47.57 | 22 |
| 36.13 | 21 |
| 61.30 | 16 |
| 26.98 | 16 |
| 69.65 | 12 |
| 66.20 | 12 |

6.
ZrSe8: simulated X-ray diffraction stick pattern (Cu Kα), based on a PBE-relaxed structure.
Lines closer than 0.1° are merged.

```
9
Lattice="-4.3063 4.3063 2.6525 4.3063 -4.3063 2.6525 4.3063 4.3063 -2.6525" Properties=species:S:1:pos:R:3 pbc="T T T"
Zr 0.0000 0.0000 0.0000
Se 2.7438 0.0000 0.0000
Se 5.8689 0.0000 0.0000
Se 0.0000 2.7438 0.0000
Se 3.0155 3.0155 0.0000
Se 1.2908 -1.2908 2.6525
Se -1.2908 1.2908 2.6525
Se 1.2908 1.2908 2.6525
Se 0.0000 5.8689 0.0000
```

Peak list (10 most intense, 2θ = 10–90°, most intense first)
| 2θ (°) | I/Imax |
| --- | --- |
| 35.56 | 100 |
| 33.79 | 31 |
| 44.64 | 25 |
| 57.14 | 23 |
| 61.60 | 20 |
| 76.31 | 16 |
| 75.27 | 9 |
| 87.95 | 7 |
| 64.97 | 7 |
| 14.54 | 5 |

7.
NbAgAs2Se: simulated X-ray diffraction stick pattern (Cu Kα), based on a PBE-relaxed structure.
Lines closer than 0.1° are merged.

```
5
Lattice="5.0475 0.0000 0.0000 0.0000 5.0475 0.0000 0.0000 0.0000 4.9906" Properties=species:S:1:pos:R:3 pbc="T T T"
Nb 0.0000 0.0000 0.0000
Ag 2.5238 2.5238 2.4953
As 0.0000 2.5238 0.0000
As 2.5238 0.0000 0.0000
Se 0.0000 0.0000 2.4953
```

Peak list (10 most intense, 2θ = 10–90°, most intense first)
| 2θ (°) | I/Imax |
| --- | --- |
| 35.57 | 100 |
| 30.80 | 95 |
| 51.50 | 68 |
| 35.99 | 48 |
| 25.09 | 43 |
| 51.19 | 34 |
| 64.16 | 34 |
| 60.94 | 26 |
| 24.95 | 23 |
| 44.03 | 18 |

8.
Li2LaTeS4: simulated X-ray diffraction stick pattern (Cu Kα), based on a PBE-relaxed structure.
Lines closer than 0.1° are merged.

```
16
Lattice="5.7815 -5.3894 0.0000 5.7815 5.3894 0.0000 -5.6192 0.0000 5.8862" Properties=species:S:1:pos:R:3 pbc="T T T"
Li 0.0000 0.0000 0.0000
Li -2.8096 0.0000 2.9431
Li 2.8907 2.6947 0.0000
Li 0.0811 -2.6947 2.9431
La 5.7815 0.0000 0.0000
La 2.9718 0.0000 2.9431
Te 0.0811 2.6947 2.9431
Te 2.8907 -2.6947 0.0000
S 2.6934 2.8315 2.6439
S 2.9042 -0.0041 0.0218
S 0.0946 0.0041 2.9649
S 6.0599 2.8315 0.2992
S -0.1162 -2.8315 5.5870
S 5.8491 -0.0041 2.9213
S 3.0395 0.0041 5.8644
S 3.2503 -2.8315 3.2423
```

Peak list (10 most intense, 2θ = 10–90°, most intense first)
| 2θ (°) | I/Imax |
| --- | --- |
| 13.40 | 100 |
| 13.64 | 83 |
| 30.37 | 69 |
| 33.24 | 68 |
| 30.95 | 66 |
| 27.00 | 53 |
| 45.65 | 42 |
| 46.06 | 41 |
| 25.16 | 37 |
| 55.65 | 32 |

9.
LiTc2SnC: simulated X-ray diffraction stick pattern (Cu Kα), based on a PBE-relaxed structure.
Lines closer than 0.1° are merged.

```
5
Lattice="4.0987 0.0000 0.0000 0.0000 4.0987 0.0000 0.0000 0.0000 4.1241" Properties=species:S:1:pos:R:3 pbc="T T T"
Li 0.0000 0.0000 0.0000
Tc 0.0000 2.0494 2.0621
Tc 2.0494 0.0000 2.0621
Sn 2.0494 2.0494 0.0000
C 0.0000 0.0000 2.0621
```

Peak list (10 most intense, 2θ = 10–90°, most intense first)
| 2θ (°) | I/Imax |
| --- | --- |
| 37.94 | 100 |
| 44.19 | 37 |
| 30.77 | 32 |
| 77.14 | 26 |
| 64.06 | 24 |
| 21.68 | 22 |
| 43.91 | 19 |
| 76.73 | 13 |
| 81.12 | 12 |
| 64.28 | 12 |

10.
Pm4Ho4Tm3: simulated X-ray diffraction stick pattern (Cu Kα), based on a PBE-relaxed structure.
Lines closer than 0.1° are merged.

```
11
Lattice="18.6849 -2.7192 0.0000 18.6849 2.7192 0.0000 -0.2912 0.0000 3.4832" Properties=species:S:1:pos:R:3 pbc="T T T"
Pm 3.5834 0.0000 0.3496
Pm 10.1885 0.0000 2.7231
Pm 26.8901 0.0000 0.7601
Pm 33.4952 0.0000 3.1335
Ho 6.6278 0.0000 2.3732
Ho 16.8544 0.0000 1.5769
Ho 20.2242 0.0000 1.9062
Ho 30.4508 0.0000 1.1099
Tm 0.0000 0.0000 0.0000
Tm 13.4985 0.0000 1.2588
Tm 23.5801 0.0000 2.2243
```

Peak list (10 most intense, 2θ = 10–90°, most intense first)
| 2θ (°) | I/Imax |
| --- | --- |
| 31.12 | 100 |
| 30.79 | 73 |
| 32.94 | 46 |
| 57.68 | 17 |
| 33.39 | 17 |
| 33.74 | 16 |
| 63.25 | 14 |
| 61.90 | 14 |
| 62.43 | 14 |
| 47.61 | 13 |

11.
ScAl3Cu: simulated X-ray diffraction stick pattern (Cu Kα), based on a PBE-relaxed structure.
Lines closer than 0.1° are merged.

```
10
Lattice="2.1418 -11.8457 0.0000 2.1418 11.8457 0.0000 0.0000 0.0000 3.4844" Properties=species:S:1:pos:R:3 pbc="T T T"
Sc 2.1418 7.8990 0.0000
Sc 2.1418 -7.8990 0.0000
Al 2.1418 10.4663 1.7422
Al 2.1418 5.2553 1.7422
Al 2.1418 1.2620 0.0000
Al 2.1418 -1.2620 0.0000
Al 2.1418 -5.2553 1.7422
Al 2.1418 -10.4663 1.7422
Cu 2.1418 2.8899 1.7422
Cu 2.1418 -2.8899 1.7422
```

Peak list (10 most intense, 2θ = 10–90°, most intense first)
| 2θ (°) | I/Imax |
| --- | --- |
| 35.09 | 100 |
| 14.96 | 43 |
| 42.19 | 32 |
| 40.21 | 32 |
| 42.81 | 21 |
| 48.26 | 20 |
| 52.52 | 18 |
| 39.95 | 17 |
| 34.32 | 15 |
| 28.08 | 13 |